For Rb2Hg3Pd, the GGA-PBE geometry in Alexandria gives the computed X-ray diffraction stick pattern in this record (Cu Kα, 1.54184 Å).
Peak positions follow from Bragg's law for the DFT cell and can differ from measured ones.

Most intense lines, 10° ≤ 2θ ≤ 90°, by intensity:
| two_theta | d_spacing | I/Imax |
| --- | --- | --- |
| 31.6 | 2.830 | 100 |
| 35.0 | 2.562 | 88 |
| 13.9 | 6.353 | 72 |
| 37.5 | 2.396 | 31 |
| 28.1 | 3.174 | 28 |
| 54.0 | 1.697 | 22 |
| 49.9 | 1.829 | 21 |
| 40.2 | 2.243 | 21 |
| 66.0 | 1.415 | 21 |
| 19.9 | 4.453 | 18 |

Atomic structure:
```
Rb2Hg3Pd
1.0
6.245 0.000 0.000
0.000 12.706 0.000
0.000 0.000 4.792
Rb Hg Pd
4 6 2
Cartesian
1.372 2.694 0.000 Rb
1.750 9.046 2.396 Rb
4.494 3.659 2.396 Rb
4.873 10.012 0.000 Rb
0.000 0.000 2.396 Hg
1.326 5.469 2.396 Hg
1.796 11.822 0.000 Hg
3.122 6.353 0.000 Hg
4.449 0.884 0.000 Hg
4.918 7.237 2.396 Hg
0.000 6.353 0.000 Pd
3.122 0.000 2.396 Pd
```



For K2InRh, the GGA-PBE geometry in Alexandria gives the computed X-ray diffraction stick pattern in this record (Cu Kα, 1.54184 Å).
Peak positions follow from Bragg's law for the DFT cell and can differ from measured ones.

Most intense lines, 10° ≤ 2θ ≤ 90°, by intensity:
| two_theta | d_spacing | I/Imax |
| --- | --- | --- |
| 34.4 | 2.609 | 100 |
| 26.5 | 3.358 | 80 |
| 43.9 | 2.060 | 78 |
| 35.5 | 2.526 | 76 |
| 17.6 | 5.038 | 62 |
| 38.9 | 2.317 | 35 |
| 50.4 | 1.812 | 34 |
| 35.6 | 2.519 | 24 |
| 44.4 | 2.041 | 24 |
| 52.5 | 1.744 | 23 |

Atomic structure:
```
K2InRh
1.0
3.392 0.000 0.000
0.000 4.083 0.000
0.000 0.000 10.075
K In Rh
2 1 1
Cartesian
0.000 0.000 0.000 K
1.696 2.041 4.039 K
1.696 2.041 7.294 In
0.000 0.000 6.885 Rh
```



For Tb8NdTh4, the GGA-PBE geometry in Alexandria gives the computed X-ray diffraction stick pattern in this record (Cu Kα, 1.54184 Å).
Peak positions follow from Bragg's law for the DFT cell and can differ from measured ones.

Most intense lines, 10° ≤ 2θ ≤ 90°, by intensity:
| two_theta | d_spacing | I/Imax |
| --- | --- | --- |
| 30.9 | 2.891 | 100 |
| 32.5 | 2.751 | 47 |
| 38.9 | 2.317 | 32 |
| 30.0 | 2.983 | 31 |
| 49.3 | 1.850 | 30 |
| 28.0 | 3.182 | 26 |
| 58.7 | 1.572 | 25 |
| 52.7 | 1.736 | 20 |
| 59.3 | 1.558 | 14 |
| 83.2 | 1.161 | 10 |

Atomic structure:
```
Tb8NdTh4
1.0
3.700 2.136 8.948
-3.700 2.136 8.948
0.000 -4.272 8.948
Tb Nd Th
8 1 4
Cartesian
-2.072 -1.196 15.128 Tb
0.000 0.000 5.955 Tb
0.000 -2.392 11.716 Tb
-2.072 1.196 11.716 Tb
2.072 -1.196 15.128 Tb
0.000 2.392 15.128 Tb
0.000 0.000 20.890 Tb
2.072 1.196 11.716 Tb
0.000 0.000 13.422 Nd
0.000 0.000 0.000 Th
-1.850 -1.068 8.948 Th
-1.850 1.068 17.896 Th
0.000 2.136 8.948 Th
```



For PrDy7Tm2, the GGA-PBE geometry in Alexandria gives the computed X-ray diffraction stick pattern in this record (Cu Kα, 1.54184 Å).
Peak positions follow from Bragg's law for the DFT cell and can differ from measured ones.

Most intense lines, 10° ≤ 2θ ≤ 90°, by intensity:
| two_theta | d_spacing | I/Imax |
| --- | --- | --- |
| 30.9 | 2.895 | 100 |
| 35.8 | 2.507 | 51 |
| 51.6 | 1.773 | 36 |
| 61.3 | 1.511 | 36 |
| 64.4 | 1.447 | 12 |
| 86.9 | 1.121 | 10 |
| 84.1 | 1.151 | 9 |
| 84.2 | 1.150 | 9 |
| 61.3 | 1.513 | 7 |
| 86.8 | 1.122 | 7 |

Atomic structure:
```
PrDy7Tm2
1.0
6.140 0.000 0.000
2.041 6.794 0.000
2.046 1.229 7.553
Pr Dy Tm
1 7 2
Cartesian
0.000 0.000 0.000 Pr
1.021 3.397 0.000 Dy
3.066 2.781 4.524 Dy
3.073 0.927 1.526 Dy
4.100 4.316 1.524 Dy
6.127 3.706 6.029 Dy
7.154 7.096 6.028 Dy
7.161 5.241 3.030 Dy
4.086 6.169 4.523 Tm
6.141 1.853 3.031 Tm
```



For U2CoP2, the GGA-PBE geometry in Alexandria gives the computed X-ray diffraction stick pattern in this record (Cu Kα, 1.54184 Å).
Peak positions follow from Bragg's law for the DFT cell and can differ from measured ones.

Most intense lines, 10° ≤ 2θ ≤ 90°, by intensity:
| two_theta | d_spacing | I/Imax |
| --- | --- | --- |
| 24.6 | 3.624 | 100 |
| 30.5 | 2.936 | 65 |
| 46.1 | 1.968 | 65 |
| 39.5 | 2.281 | 58 |
| 37.2 | 2.420 | 57 |
| 38.4 | 2.344 | 54 |
| 18.2 | 4.872 | 49 |
| 30.8 | 2.908 | 37 |
| 65.1 | 1.433 | 36 |
| 49.2 | 1.851 | 36 |

Atomic structure:
```
U2CoP2
1.0
6.371 0.000 0.000
0.000 7.561 0.000
0.000 0.000 3.624
U Co P
4 2 4
Cartesian
0.571 1.102 0.000 U
2.614 4.883 0.000 U
3.757 2.678 0.000 U
5.799 6.459 0.000 U
0.000 3.781 0.000 Co
3.185 0.000 0.000 Co
1.412 3.121 1.812 P
1.773 6.901 1.812 P
4.598 0.660 1.812 P
4.958 4.441 1.812 P
```



For BaLi4Ge, the GGA-PBE geometry in Alexandria gives the computed X-ray diffraction stick pattern in this record (Cu Kα, 1.54184 Å).
Peak positions follow from Bragg's law for the DFT cell and can differ from measured ones.

Most intense lines, 10° ≤ 2θ ≤ 90°, by intensity:
| two_theta | d_spacing | I/Imax |
| --- | --- | --- |
| 19.0 | 4.677 | 100 |
| 31.2 | 2.864 | 95 |
| 36.8 | 2.442 | 74 |
| 55.6 | 1.653 | 36 |
| 49.0 | 1.858 | 25 |
| 59.3 | 1.559 | 24 |
| 68.5 | 1.369 | 18 |
| 74.0 | 1.281 | 16 |
| 44.8 | 2.025 | 14 |
| 65.1 | 1.432 | 14 |

Atomic structure:
```
BaLi4Ge
1.0
0.000 4.050 4.050
4.050 0.000 4.050
4.050 4.050 0.000
Ba Li Ge
1 4 1
Cartesian
0.000 0.000 0.000 Ba
3.052 3.052 3.052 Li
5.048 5.048 3.052 Li
5.048 3.052 5.048 Li
3.052 5.048 5.048 Li
6.075 6.075 6.075 Ge
```



For LiAlPb, the GGA-PBE geometry in Alexandria gives the computed X-ray diffraction stick pattern in this record (Cu Kα, 1.54184 Å).
Peak positions follow from Bragg's law for the DFT cell and can differ from measured ones.

Most intense lines, 10° ≤ 2θ ≤ 90°, by intensity:
| two_theta | d_spacing | I/Imax |
| --- | --- | --- |
| 23.0 | 3.862 | 100 |
| 35.5 | 2.531 | 96 |
| 35.7 | 2.512 | 80 |
| 17.9 | 4.962 | 74 |
| 26.6 | 3.351 | 71 |
| 38.2 | 2.354 | 67 |
| 45.1 | 2.010 | 63 |
| 27.0 | 3.308 | 61 |
| 29.3 | 3.048 | 49 |
| 62.2 | 1.493 | 45 |

Atomic structure:
```
LiAlPb
1.0
3.351 0.000 0.000
0.000 3.862 0.000
0.000 0.000 9.924
Li Al Pb
2 2 2
Cartesian
0.000 0.000 0.000 Li
0.000 0.000 3.429 Li
0.000 0.000 6.147 Al
1.675 1.931 4.903 Al
1.675 1.931 1.792 Pb
1.675 1.931 7.999 Pb
```



For Li2AgF4, the GGA-PBE geometry in Alexandria gives the computed X-ray diffraction stick pattern in this record (Cu Kα, 1.54184 Å).
Peak positions follow from Bragg's law for the DFT cell and can differ from measured ones.

Most intense lines, 10° ≤ 2θ ≤ 90°, by intensity:
| two_theta | d_spacing | I/Imax |
| --- | --- | --- |
| 17.6 | 5.028 | 100 |
| 32.3 | 2.771 | 70 |
| 20.3 | 4.379 | 41 |
| 40.0 | 2.254 | 37 |
| 58.8 | 1.571 | 25 |
| 29.1 | 3.070 | 22 |
| 34.0 | 2.637 | 22 |
| 45.2 | 2.004 | 21 |
| 43.8 | 2.065 | 18 |
| 26.8 | 3.320 | 18 |

Atomic structure:
```
Li2AgF4
1.0
5.347 0.000 0.000
0.000 3.320 0.000
-3.648 0.000 10.060
Li Ag F
4 2 8
Cartesian
-0.722 0.007 4.257 Li
-2.546 3.314 9.287 Li
4.245 0.007 0.773 Li
2.421 3.314 5.803 Li
-0.062 1.654 7.545 Ag
1.761 1.666 2.515 Ag
0.794 0.006 1.130 F
-1.030 3.315 6.159 F
-1.778 1.653 8.746 F
0.046 1.667 3.717 F
1.653 1.653 6.343 F
3.477 1.667 1.313 F
2.729 0.006 3.900 F
0.905 3.315 8.930 F
```



- Which formula does entry 6 have?
  BaLi4Ge